# 1
Theoretical powder diffractogram of Ta3Cr13 for Cu Kα X-rays, from a PBE-relaxed structure.
Neutral-atom scattering factors, no anomalous dispersion.

```
16
Lattice="5.9121 0.0000 0.0000 0.0000 4.1711 4.2071 0.0000 -4.1711 4.2071" Properties=species:S:1:pos:R:3 pbc="T T T"
Ta 0.0000 0.0000 0.0000
Ta 1.4986 0.0000 6.1605
Ta 4.4135 0.0000 6.1605
Cr 0.0000 0.0000 4.0224
Cr 0.0000 -2.1456 6.2296
Cr 0.0000 2.1456 6.2296
Cr 1.5077 -2.0557 4.0957
Cr 1.5077 2.0557 4.0957
Cr 1.5117 0.0000 2.0517
Cr 2.9561 0.0000 4.0171
Cr 2.9561 -2.1653 6.2044
Cr 2.9561 0.0000 8.3763
Cr 2.9561 2.1653 6.2044
Cr 4.4005 0.0000 2.0517
Cr 4.4044 -2.0557 4.0957
Cr 4.4044 2.0557 4.0957
```

Peak list (8 most intense, 10 to 90 degrees two-theta, low angle first)
- 14.96°, I 27
- 21.28°, I 21
- 33.88°, I 16
- 43.00°, I 25
- 43.24°, I 100
- 43.39°, I 25
- 62.74°, I 15
- 79.50°, I 22

# 2
Theoretical powder diffractogram of CeSmPd4 for Cu Kα X-rays, from a PBE-relaxed structure.
Neutral-atom scattering factors, no anomalous dispersion.

```
12
Lattice="2.1056 -10.0097 0.0000 2.1056 10.0097 0.0000 0.0000 0.0000 5.8048" Properties=species:S:1:pos:R:3 pbc="T T T"
Ce 2.1056 8.4472 4.3536
Ce 2.1056 -8.4472 1.4512
Sm 2.1056 5.5336 1.4512
Sm 2.1056 -5.5336 4.3536
Pd 2.1056 8.5721 1.4512
Pd 2.1056 2.9150 2.9582
Pd 2.1056 2.9150 5.7491
Pd 2.1056 0.0000 0.0000
Pd 2.1056 0.0000 2.9024
Pd 2.1056 -2.9150 0.0558
Pd 2.1056 -2.9150 2.8467
Pd 2.1056 -8.5721 4.3536
```

Peak list (8 most intense, 10 to 90 degrees two-theta, low angle first)
- 37.92°, I 96
- 38.03°, I 100
- 41.22°, I 54
- 42.95°, I 37
- 61.05°, I 33
- 73.10°, I 24
- 75.40°, I 26
- 77.10°, I 25

# 3
Theoretical powder diffractogram of Pm2YSn3Pd6 for Cu Kα X-rays, from a PBE-relaxed structure.
Neutral-atom scattering factors, no anomalous dispersion.

```
12
Lattice="4.0502 0.0000 0.0000 0.0000 4.0502 0.0000 0.0000 0.0000 18.0204" Properties=species:S:1:pos:R:3 pbc="T T T"
Pm 0.0000 0.0000 3.3998
Pm 0.0000 0.0000 14.6205
Y 0.0000 0.0000 9.0102
Sn 2.0251 2.0251 0.0000
Sn 2.0251 2.0251 5.2291
Sn 2.0251 2.0251 12.7912
Pd 0.0000 2.0251 6.9422
Pd 0.0000 2.0251 11.0782
Pd 2.0251 0.0000 6.9422
Pd 2.0251 0.0000 11.0782
Pd 2.0251 2.0251 2.5448
Pd 2.0251 2.0251 15.4755
```

Peak list (8 most intense, 10 to 90 degrees two-theta, low angle first)
- 26.54°, I 86
- 31.63°, I 79
- 34.70°, I 53
- 37.20°, I 57
- 41.57°, I 80
- 43.67°, I 51
- 44.75°, I 100
- 62.72°, I 47

# 4
Theoretical powder diffractogram of SrEuGe4O12 for Cu Kα X-rays, from a PBE-relaxed structure.
Neutral-atom scattering factors, no anomalous dispersion.

```
18
Lattice="5.3376 0.0000 0.0000 0.0000 5.3376 0.0000 0.0000 0.0000 7.5580" Properties=species:S:1:pos:R:3 pbc="T T T"
Sr 0.0000 0.0000 0.0000
Eu 2.6688 2.6688 3.7790
Ge 0.0000 2.6688 1.8698
Ge 0.0000 2.6688 5.6881
Ge 2.6688 0.0000 1.8698
Ge 2.6688 0.0000 5.6881
O 0.0000 2.6688 0.0000
O 0.0000 2.6688 3.7790
O 1.3572 1.3572 1.9631
O 1.3572 1.3572 5.5948
O 1.3572 3.9804 1.9631
O 1.3572 3.9804 5.5948
O 2.6688 0.0000 0.0000
O 2.6688 0.0000 3.7790
O 3.9804 1.3572 1.9631
O 3.9804 1.3572 5.5948
O 3.9804 3.9804 1.9631
O 3.9804 3.9804 5.5948
```

Peak list (8 most intense, 10 to 90 degrees two-theta, low angle first)
- 20.37°, I 60
- 33.57°, I 100
- 39.58°, I 33
- 48.20°, I 41
- 52.84°, I 14
- 60.02°, I 39
- 70.55°, I 24
- 80.41°, I 11

# 5
Theoretical powder diffractogram of DyH8IrPd2 for Cu Kα X-rays, from a PBE-relaxed structure.
Neutral-atom scattering factors, no anomalous dispersion.

```
12
Lattice="4.4271 0.0000 0.0000 0.9592 4.3619 0.0000 1.6931 1.6281 5.4925" Properties=species:S:1:pos:R:3 pbc="T T T"
Dy 0.0000 0.0000 0.0000
H 2.3863 4.1753 4.0229
H 2.1634 1.8524 3.0507
H 2.7188 4.3047 1.5888
H 2.1911 1.3442 0.1895
H 4.8882 4.6458 5.3029
H 4.3606 1.6853 3.9036
H 4.9159 4.1376 2.4417
H 4.6930 1.8147 1.4696
Ir 0.8465 0.8140 2.7462
Pd 2.9232 2.4997 1.3890
Pd 4.1562 3.4903 4.1035
```

Peak list (8 most intense, 10 to 90 degrees two-theta, low angle first)
- 27.98°, I 100
- 32.15°, I 74
- 33.57°, I 65
- 34.64°, I 59
- 43.00°, I 30
- 43.29°, I 63
- 44.31°, I 31
- 45.17°, I 27

# 6
Theoretical powder diffractogram of La2Er3Ge4 for Cu Kα X-rays, from a PBE-relaxed structure.
Neutral-atom scattering factors, no anomalous dispersion.

```
18
Lattice="7.9223 0.0000 0.0000 0.0000 7.9436 0.0000 -2.6173 0.0000 7.2389" Properties=species:S:1:pos:R:3 pbc="T T T"
La 1.3545 1.4077 0.4981
La 0.0459 2.5641 4.1175
La 5.2591 5.3795 3.1214
La 3.9505 6.5359 6.7408
Er 1.3136 5.2986 1.7940
Er 0.0050 6.6168 5.4135
Er 2.6525 0.0000 3.6194
Er 3.9612 3.9718 0.0000
Er 5.3000 1.3268 1.8254
Er 3.9914 2.6450 5.4448
Ge -1.5603 4.2952 6.1724
Ge -0.2516 7.6202 2.5529
Ge 1.6499 1.0547 6.2526
Ge 2.9585 2.9171 2.6331
Ge 2.3465 5.0265 4.6057
Ge 3.6551 6.8889 0.9863
Ge 5.5566 0.3234 4.6860
Ge 6.8653 3.6484 1.0665
```

Peak list (8 most intense, 10 to 90 degrees two-theta, low angle first)
- 30.11°, I 41
- 32.19°, I 68
- 32.58°, I 47
- 32.96°, I 100
- 36.14°, I 54
- 36.25°, I 18
- 36.80°, I 66
- 55.95°, I 15

# 7
Theoretical powder diffractogram of La4PmAu for Cu Kα X-rays, from a PBE-relaxed structure.
Neutral-atom scattering factors, no anomalous dispersion.

```
6
Lattice="3.7930 0.0000 0.0000 0.0000 3.7930 0.0000 0.0000 0.0000 13.7496" Properties=species:S:1:pos:R:3 pbc="T T T"
La 0.0000 0.0000 1.8338
La 0.0000 0.0000 11.9158
La 1.8965 1.8965 4.3722
La 1.8965 1.8965 9.3775
Pm 0.0000 0.0000 6.8748
Au 1.8965 1.8965 0.0000
```

Peak list (8 most intense, 10 to 90 degrees two-theta, low angle first)
- 30.59°, I 100
- 33.41°, I 46
- 35.24°, I 8
- 39.32°, I 8
- 47.97°, I 17
- 52.52°, I 15
- 57.97°, I 33
- 63.69°, I 8

# 8
Theoretical powder diffractogram of Th6Pd2Rh for Cu Kα X-rays, from a PBE-relaxed structure.
Neutral-atom scattering factors, no anomalous dispersion.

```
18
Lattice="6.4099 0.0000 0.0000 0.0000 7.6033 0.0000 -6.0421 0.0000 10.3255" Properties=species:S:1:pos:R:3 pbc="T T T"
Th -2.1203 1.5038 4.4593
Th -5.1413 2.2978 9.6220
Th -0.8227 5.0095 4.5690
Th -3.8437 6.3955 9.7317
Th 1.0957 0.2945 2.4981
Th -1.9254 3.5072 7.6608
Th 2.2932 4.0961 2.6647
Th -0.7279 7.3089 7.8274
Th 4.2115 1.2079 0.5938
Th 1.1904 2.5938 5.7565
Th 5.5091 5.3055 0.7035
Th 2.4880 6.0995 5.8662
Pd -3.4568 0.9250 7.5506
Pd -0.4358 2.8766 2.3878
Pd 0.8036 4.7267 7.9376
Pd 3.8246 6.6783 2.7749
Rh 0.1839 0.0000 5.1627
Rh 3.2049 3.8017 0.0000
```

Peak list (8 most intense, 10 to 90 degrees two-theta, low angle first)
- 28.49°, I 75
- 29.17°, I 65
- 29.90°, I 97
- 30.28°, I 72
- 31.24°, I 88
- 31.35°, I 53
- 32.16°, I 100
- 38.19°, I 58